No. 1
Simulated powder X-ray diffraction pattern of LaCrSi2 for Cu Kα (weighted mean of Kα1 and Kα2), from DFT lattice parameters and positions (PBE).
No peak broadening, texture or thermal motion is included.

Structural model:
```
data_LaCrSi2
_chemical_formula_sum 'La2 Cr2 Si4'
_space_group_name_H-M_alt 'I m m m'
_space_group_IT_number 71
_space_group_name_Hall '-I 2 2'
_cell_length_a 4.405
_cell_length_b 5.906
_cell_length_c 6.673
_cell_angle_alpha 90.00
_cell_angle_beta 90.00
_cell_angle_gamma 90.00
loop_
_atom_site_label
_atom_site_type_symbol
_atom_site_fract_x
_atom_site_fract_y
_atom_site_fract_z
La1 La 0.000 0.000 0.000
Cr1 Cr 0.000 0.000 0.500
Si1 Si 0.000 0.500 0.181
```

Peak list (10 most intense, 2θ = 10–80°, sorted by position)
d 3.676, 24.2 deg, I = 34, hkl 1 0 1; d 3.531, 25.2 deg, I = 47, hkl 1 1 0; d 3.336, 26.7 deg, I = 27, hkl 0 0 2; d 2.953, 30.3 deg, I = 52, hkl 0 2 0; d 2.425, 37.1 deg, I = 100, hkl 1 1 2; d 2.302, 39.1 deg, I = 19, hkl 1 2 1; d 2.211, 40.8 deg, I = 17, hkl 0 2 2; d 2.203, 41.0 deg, I = 22, hkl 2 0 0; d 1.766, 51.8 deg, I = 22, hkl 2 2 0; d 1.582, 58.3 deg, I = 26, hkl 1 3 2

***

No. 2
Simulated powder X-ray diffraction pattern of Cs8Bi3S8 for Cu Kα (weighted mean of Kα1 and Kα2), from DFT lattice parameters and positions (PBE).
No peak broadening, texture or thermal motion is included.

Structural model:
```
data_Cs8Bi3S8
_chemical_formula_sum 'Cs16 Bi6 S16'
_space_group_name_H-M_alt 'C 1 2/m 1'
_space_group_IT_number 12
_space_group_name_Hall '-C 2y'
_cell_length_a 25.673
_cell_length_b 7.213
_cell_length_c 10.284
_cell_angle_alpha 90.00
_cell_angle_beta 105.67
_cell_angle_gamma 90.00
loop_
_atom_site_label
_atom_site_type_symbol
_atom_site_fract_x
_atom_site_fract_y
_atom_site_fract_z
Cs1 Cs 0.034 0.000 0.251
Cs2 Cs 0.090 0.500 0.965
Cs3 Cs 0.172 0.500 0.484
Cs4 Cs 0.197 0.000 0.810
Bi1 Bi 0.000 0.500 0.500
Bi2 Bi 0.189 0.000 0.199
S1 S 0.035 0.500 0.279
S2 S 0.101 0.000 0.995
S3 S 0.179 0.000 0.444
S4 S 0.213 0.500 0.840
```

Peak list (10 most intense, 2θ = 10–80°, sorted by position)
d 5.888, 15.0 deg, I = 38, hkl 1 1 -1; d 4.180, 21.3 deg, I = 29, hkl 1 1 -2; d 4.110, 21.6 deg, I = 62, hkl 5 1 -1; d 3.891, 22.9 deg, I = 64, hkl 1 1 2; d 3.607, 24.7 deg, I = 100, hkl 0 2 0; d 3.561, 25.0 deg, I = 28, hkl 5 1 -2; d 3.485, 25.6 deg, I = 28, hkl 6 0 1; d 3.303, 27.0 deg, I = 26, hkl 0 0 3; d 2.999, 29.8 deg, I = 41, hkl 6 0 -3; d 2.308, 39.0 deg, I = 42, hkl 6 2 -3